# 1
Starting from the GGA-PBE geometry in the Materials Project, the PXRD pattern of Ca3Mo3N5 was simulated for CuKα.
Intensities are scaled so that the largest is 100.

Structure:
Cell lengths 5.835, 7.278, 8.343 Å; angles 106.70, 101.72, 101.45 degrees
Atoms (fractional coordinates):
Ca (0.168, 0.338, 0.379)
Ca (0.177, 0.145, 0.698)
Ca (0.321, 0.953, 0.117)
Ca (0.679, 0.047, 0.883)
Ca (0.823, 0.855, 0.302)
Ca (0.832, 0.662, 0.621)
Mo (0.257, 0.492, 0.072)
Mo (0.343, 0.613, 0.779)
Mo (0.385, 0.818, 0.472)
Mo (0.615, 0.182, 0.528)
Mo (0.657, 0.387, 0.221)
Mo (0.743, 0.508, 0.928)
N (0.053, 0.629, 0.903)
N (0.247, 0.027, 0.395)
N (0.270, 0.816, 0.676)
N (0.446, 0.280, 0.978)
N (0.490, 0.586, 0.331)
N (0.510, 0.414, 0.669)
N (0.554, 0.720, 0.022)
N (0.730, 0.184, 0.324)
N (0.753, 0.973, 0.605)
N (0.947, 0.371, 0.097)

Top 12 peaks for 15° ≤ 2θ ≤ 90°, sorted by position:
2θ/deg	I (rel.)
16.1	57
20.3	58
29.4	17
31.6	48
32.6	100
33.6	78
34.3	81
38.1	39
39.6	45
40.7	31
44.5	32
44.7	23

=====

# 2
Starting from the GGA-PBE geometry in the Materials Project, the PXRD pattern of MgSi2 was simulated for CuKα.
Intensities are scaled so that the largest is 100.

Structure:
Cell lengths 6.143, 3.784, 9.751 Å; angles 90.00, 102.52, 90.00 degrees
Atoms (fractional coordinates):
Mg (0.000, 0.000, 0.000)
Mg (0.094, 0.500, 0.476)
Mg (0.603, 0.500, 0.817)
Mg (0.699, 0.000, 0.321)
Si (0.010, 0.500, 0.760)
Si (0.223, 0.000, 0.311)
Si (0.246, 0.000, 0.749)
Si (0.296, 0.500, 0.170)
Si (0.459, 0.000, 0.998)
Si (0.460, 0.000, 0.555)
Si (0.685, 0.500, 0.106)
Si (0.703, 0.500, 0.550)

Top 12 peaks for 15° ≤ 2θ ≤ 90°, sorted by position:
2θ/deg	I (rel.)
26.3	17
27.9	32
30.5	54
33.2	22
37.0	99
37.8	50
38.8	18
39.8	100
43.9	40
45.9	41
48.1	55
50.4	22